# 1
# Pm3ThC8
Calculated PXRD pattern, Cu Kα X-rays. Input: DFT lattice parameters and positions (PBE).
Kinematic intensities with the Lorentz-polarization factor, no thermal factor.

Top 10 peaks for 5° ≤ 2θ ≤ 70°, by angle:
2θ/deg	I/Imax
25.0	58.9
28.7	100.0
35.6	33.9
46.0	7.2
46.4	59.8
51.3	10.9
53.0	20.1
57.8	13.8
59.5	12.5
59.8	12.1

Atomic structure:
```
Pm3ThC8
1.0
-3.5650 3.5650 3.9475
3.5650 -3.5650 3.9475
3.5650 3.5650 -3.9475
Pm Th C
3 1 8
Direct
0.0000 0.0000 0.0000
0.2500 0.7500 0.5000
0.7500 0.2500 0.5000
0.5000 0.5000 0.0000
0.1002 0.1002 0.4699
0.1067 0.1067 0.6788
0.3697 0.8998 0.0000
0.4279 0.4279 0.3212
0.5721 0.8933 0.0000
0.6303 0.6303 0.5301
0.8933 0.5721 0.0000
0.8998 0.3697 0.0000
```

---

# 2
# CsDyZn2F8
Calculated PXRD pattern, Cu Kα X-rays. Input: DFT lattice parameters and positions (PBE).
Kinematic intensities with the Lorentz-polarization factor, no thermal factor.

Top 10 peaks for 5° ≤ 2θ ≤ 70°, by angle:
2θ/deg	I/Imax
19.9	15.0
23.0	100.0
32.8	69.1
38.7	16.1
40.5	24.2
47.1	13.6
51.6	4.5
53.1	44.7
58.6	33.0
68.8	9.7

Atomic structure:
```
CsDyZn2F8
1.0
2.7281 1.5751 8.9208
-2.7281 1.5751 8.9208
0.0000 -3.1501 8.9208
Cs Dy Zn F
1 1 2 8
Direct
0.0000 0.0000 0.0000
0.5000 0.5000 0.5000
0.2489 0.2489 0.2489
0.7511 0.7511 0.7511
0.1229 0.4752 0.7469
0.2531 0.5248 0.8771
0.3183 0.3183 0.3183
0.4752 0.7469 0.1229
0.5248 0.8771 0.2531
0.6817 0.6817 0.6817
0.7469 0.1229 0.4752
0.8771 0.2531 0.5248
```

---

# 3
# Ba3Se5
Calculated PXRD pattern, Cu Kα X-rays. Input: DFT lattice parameters and positions (PBE).
Kinematic intensities with the Lorentz-polarization factor, no thermal factor.

Top 10 peaks for 5° ≤ 2θ ≤ 70°, by angle:
2θ/deg	I/Imax
10.4	19.1
18.0	15.6
27.7	22.1
31.4	100.0
33.2	66.9
42.4	29.7
46.4	23.8
56.0	15.5
57.1	31.4
66.7	22.8

Atomic structure:
```
Ba3Se5
1.0
9.8553 0.0000 0.0000
-4.9277 8.5350 0.0000
0.0000 0.0000 6.4518
Ba Se
6 10
Direct
0.0000 0.3555 0.2500
0.0000 0.6445 0.7500
0.3555 0.0000 0.2500
0.3555 0.3555 0.7500
0.6445 0.0000 0.7500
0.6445 0.6445 0.2500
0.0000 0.3104 0.7500
0.0000 0.6896 0.2500
0.3104 0.0000 0.7500
0.3104 0.3104 0.2500
0.3333 0.6667 0.0000
0.3333 0.6667 0.5000
0.6667 0.3333 0.0000
0.6667 0.3333 0.5000
0.6896 0.0000 0.2500
0.6896 0.6896 0.7500
```

---

# 4
# Li6PrSi2
Calculated PXRD pattern, Cu Kα X-rays. Input: DFT lattice parameters and positions (PBE).
Kinematic intensities with the Lorentz-polarization factor, no thermal factor.

Top 10 peaks for 5° ≤ 2θ ≤ 70°, by angle:
2θ/deg	I/Imax
9.6	100.0
19.2	12.9
22.8	20.2
28.4	24.3
29.4	19.4
31.0	29.0
35.4	18.6
35.9	21.4
44.6	13.4
56.4	11.4

Atomic structure:
```
Li6PrSi2
1.0
4.2992 0.0000 0.0000
0.0000 4.2992 0.0000
0.0000 0.0000 9.2224
Li Pr Si
6 1 2
Direct
0.0000 0.0000 0.0000
0.0000 0.5000 0.2169
0.0000 0.5000 0.7831
0.5000 0.0000 0.2169
0.5000 0.0000 0.7831
0.5000 0.5000 0.0000
0.0000 0.0000 0.5000
0.5000 0.5000 0.3720
0.5000 0.5000 0.6280
```

---

# 5
# Pa2TcB10
Calculated PXRD pattern, Cu Kα X-rays. Input: DFT lattice parameters and positions (PBE).
Kinematic intensities with the Lorentz-polarization factor, no thermal factor.

Top 10 peaks for 5° ≤ 2θ ≤ 70°, by angle:
2θ/deg	I/Imax
21.5	27.2
22.1	83.5
31.0	100.0
31.5	15.6
38.4	88.2
43.8	15.9
45.1	27.6
49.6	28.1
55.9	16.2
64.7	16.1

Atomic structure:
```
Pa2TcB10
1.0
5.6903 0.0000 0.0000
0.0000 11.3441 0.0000
0.0000 0.0000 4.1359
Pa Tc B
4 2 20
Direct
0.2252 0.1301 0.0000
0.2748 0.6301 0.0000
0.7252 0.3699 0.0000
0.7748 0.8699 0.0000
0.0000 0.5000 0.5000
0.5000 0.0000 0.5000
0.0652 0.3056 0.5000
0.1162 0.9578 0.5000
0.1242 0.8026 0.5000
0.2275 0.3798 0.1975
0.2275 0.3798 0.8025
0.2725 0.8798 0.1975
0.2725 0.8798 0.8025
0.3758 0.3026 0.5000
0.3838 0.4578 0.5000
0.4348 0.8056 0.5000
0.5652 0.1944 0.5000
0.6162 0.5422 0.5000
0.6242 0.6974 0.5000
0.7275 0.1202 0.1975
0.7275 0.1202 0.8025
0.7725 0.6202 0.1975
0.7725 0.6202 0.8025
0.8758 0.1974 0.5000
0.8838 0.0422 0.5000
0.9348 0.6944 0.5000
```

---

# 6
# Ba2PuOs3O12
Calculated PXRD pattern, Cu Kα X-rays. Input: DFT lattice parameters and positions (PBE).
Kinematic intensities with the Lorentz-polarization factor, no thermal factor.

Top 10 peaks for 5° ≤ 2θ ≤ 70°, by angle:
2θ/deg	I/Imax
14.9	35.4
28.5	24.2
28.7	100.0
29.7	25.1
30.0	43.0
45.6	10.0
45.7	22.9
49.7	22.3
50.1	26.8
59.4	19.3

Atomic structure:
```
Ba2PuOs3O12
1.0
3.6389 2.1009 6.0191
-3.6389 2.1009 6.0191
0.0000 -4.2019 6.0191
Ba Pu Os O
2 1 3 12
Direct
0.1370 0.1370 0.1370
0.8630 0.8630 0.8630
0.5000 0.5000 0.5000
0.0000 0.5000 0.5000
0.5000 0.0000 0.5000
0.5000 0.5000 0.0000
0.1338 0.5986 0.5986
0.2006 0.2006 0.5817
0.2006 0.5817 0.2006
0.4014 0.4014 0.8662
0.4014 0.8662 0.4014
0.4183 0.7994 0.7994
0.5817 0.2006 0.2006
0.5986 0.1338 0.5986
0.5986 0.5986 0.1338
0.7994 0.4183 0.7994
0.7994 0.7994 0.4183
0.8662 0.4014 0.4014
```

---

# 7
# Bi2SbHPd6
Calculated PXRD pattern, Cu Kα X-rays. Input: DFT lattice parameters and positions (PBE).
Kinematic intensities with the Lorentz-polarization factor, no thermal factor.

Top 10 peaks for 5° ≤ 2θ ≤ 70°, by angle:
2θ/deg	I/Imax
29.0	57.5
34.1	57.2
36.1	52.3
36.5	84.0
37.5	62.8
38.0	43.0
39.2	84.5
40.0	100.0
42.1	68.2
42.7	92.1

Atomic structure:
```
Bi2SbHPd6
1.0
5.6255 0.0000 0.0000
-2.7896 5.1680 0.0000
-2.5944 -1.7090 6.1562
Bi Sb H Pd
2 1 1 6
Direct
0.0110 0.2538 0.2111
0.9890 0.7462 0.7889
0.5000 0.5000 0.0000
0.5000 0.0000 0.5000
0.0959 0.7883 0.2424
0.3406 0.1583 0.6436
0.3666 0.6633 0.6327
0.6334 0.3367 0.3673
0.6594 0.8417 0.3564
0.9041 0.2117 0.7576
```

---

# 8
# Tb3Nd2Th3
Calculated PXRD pattern, Cu Kα X-rays. Input: DFT lattice parameters and positions (PBE).
Kinematic intensities with the Lorentz-polarization factor, no thermal factor.

Top 10 peaks for 5° ≤ 2θ ≤ 70°, by angle:
2θ/deg	I/Imax
29.8	100.0
31.3	84.3
33.4	37.0
33.9	18.5
38.9	36.4
48.3	20.0
49.9	12.4
56.5	18.8
59.1	26.4
59.3	29.6

Atomic structure:
```
Tb3Nd2Th3
1.0
9.1531 0.0000 0.0000
-4.5766 7.9268 0.0000
0.0000 0.0000 3.6523
Tb Nd Th
3 2 3
Direct
0.0000 0.3942 0.0000
0.3942 0.0000 0.0000
0.6058 0.6058 0.0000
0.3333 0.6667 0.5000
0.6667 0.3333 0.5000
0.0000 0.7761 0.5000
0.2239 0.2239 0.5000
0.7761 0.0000 0.5000
```

---

# 9
# CsBa2TlBr8
Calculated PXRD pattern, Cu Kα X-rays. Input: DFT lattice parameters and positions (PBE).
Kinematic intensities with the Lorentz-polarization factor, no thermal factor.

Top 10 peaks for 5° ≤ 2θ ≤ 70°, by angle:
2θ/deg	I/Imax
8.7	32.8
14.5	100.0
21.2	85.7
22.2	61.3
28.5	92.6
28.6	91.6
29.0	86.3
35.3	37.4
37.5	71.9
45.8	31.3

Atomic structure:
```
CsBa2TlBr8
1.0
6.7526 0.0000 0.0000
3.3058 7.3852 0.0000
0.0397 0.0231 10.1646
Cs Ba Tl Br
1 2 1 8
Direct
0.0000 0.0000 0.0000
0.4937 0.4960 0.2548
0.5063 0.5040 0.7452
0.0000 0.0000 0.5000
0.0176 0.2396 0.3026
0.0245 0.2339 0.6964
0.4204 0.2951 0.9969
0.4573 0.7828 0.4962
0.5427 0.2172 0.5038
0.5796 0.7049 0.0031
0.9755 0.7661 0.3036
0.9824 0.7604 0.6974
```

---

# 10
# PuThNi17
Calculated PXRD pattern, Cu Kα X-rays. Input: DFT lattice parameters and positions (PBE).
Kinematic intensities with the Lorentz-polarization factor, no thermal factor.

Top 10 peaks for 5° ≤ 2θ ≤ 70°, by angle:
2θ/deg	I/Imax
30.9	54.5
37.5	46.2
38.9	26.4
43.5	60.2
43.9	100.0
44.8	17.2
44.9	28.8
45.1	15.2
63.5	20.1
64.3	18.8

Atomic structure:
```
PuThNi17
1.0
4.1587 2.4010 4.0340
-4.1587 2.4010 4.0340
0.0000 -4.8021 4.0340
Pu Th Ni
1 1 17
Direct
0.0000 0.0000 0.0000
0.3234 0.3234 0.3234
0.0085 0.0085 0.5097
0.0085 0.5097 0.0085
0.1620 0.6644 0.6644
0.3158 0.3158 0.8169
0.3158 0.8169 0.3158
0.3689 0.6633 0.9569
0.3689 0.9569 0.6633
0.5097 0.0085 0.0085
0.5644 0.5644 0.5644
0.6633 0.3689 0.9569
0.6633 0.9569 0.3689
0.6644 0.1620 0.6644
0.6644 0.6644 0.1620
0.7623 0.7623 0.7623
0.8169 0.3158 0.3158
0.9569 0.3689 0.6633
0.9569 0.6633 0.3689
```

---

# 11
# CaMgZn11
Calculated PXRD pattern, Cu Kα X-rays. Input: DFT lattice parameters and positions (PBE).
Kinematic intensities with the Lorentz-polarization factor, no thermal factor.

Top 10 peaks for 5° ≤ 2θ ≤ 70°, by angle:
2θ/deg	I/Imax
34.2	49.3
38.9	72.3
39.0	49.9
39.8	51.0
40.1	92.1
40.2	100.0
44.1	48.8
44.2	69.7
44.9	53.5
45.0	47.5

Atomic structure:
```
CaMgZn11
1.0
2.6976 -6.3115 0.0000
2.6976 6.3115 0.0000
-2.6657 0.0000 6.3867
Ca Mg Zn
1 1 11
Direct
0.0000 0.0000 0.0000
0.0000 0.0000 0.5000
0.0000 0.5000 0.0000
0.0122 0.3725 0.3510
0.2905 0.5109 0.7861
0.3725 0.0122 0.3510
0.4891 0.7095 0.2139
0.5000 0.0000 0.0000
0.5000 0.5000 0.5000
0.5109 0.2905 0.7861
0.6275 0.9878 0.6490
0.7095 0.4891 0.2139
0.9878 0.6275 0.6490
```

---

# 12
# Rb2SrScBr6
Calculated PXRD pattern, Cu Kα X-rays. Input: DFT lattice parameters and positions (PBE).
Kinematic intensities with the Lorentz-polarization factor, no thermal factor.

Top 10 peaks for 5° ≤ 2θ ≤ 70°, by angle:
2θ/deg	I/Imax
15.4	15.8
26.6	43.4
27.2	43.6
31.2	100.0
44.0	11.0
44.7	45.8
45.4	11.9
53.4	11.8
54.9	10.6
56.1	11.8

Atomic structure:
```
Rb2SrScBr6
1.0
7.9932 0.0000 0.0000
0.0000 11.4772 0.0000
0.0000 0.0000 8.2342
Rb Sr Sc Br
4 2 2 12
Direct
0.2500 0.0191 0.2283
0.2500 0.4809 0.2283
0.7500 0.5191 0.7717
0.7500 0.9809 0.7717
0.2500 0.2500 0.7391
0.7500 0.7500 0.2609
0.2500 0.7500 0.7585
0.7500 0.2500 0.2415
0.0059 0.7500 0.5257
0.0092 0.7500 0.9963
0.2500 0.5108 0.7627
0.2500 0.9892 0.7627
0.4908 0.7500 0.9963
0.4941 0.7500 0.5257
0.5059 0.2500 0.4743
0.5092 0.2500 0.0037
0.7500 0.0108 0.2373
0.7500 0.4892 0.2373
0.9908 0.2500 0.0037
0.9941 0.2500 0.4743
```